Theoretical powder XRD pattern of TiNb3Cl9 for CuKα, from a structure optimized by DFT (GGA-PBE).
No peak broadening, texture or thermal motion is included.

Atomic structure:
Unit cell a=17.425 b=7.326 c=13.573 alpha=90.00 beta=117.31 gamma=90.00
Space group Cc (No. 9)
Inequivalent atoms, fractional coordinates:
Ti: 0.000 0.165 0.000 (multiplicity 4)
Nb: 0.218 0.131 0.868 (multiplicity 4)
Nb: 0.291 0.060 0.739 (multiplicity 4)
Nb: 0.314 0.364 0.833 (multiplicity 4)
Cl: 0.016 0.434 0.079 (multiplicity 4)
Cl: 0.070 0.088 0.895 (multiplicity 4)
Cl: 0.136 0.032 0.180 (multiplicity 4)
Cl: 0.175 0.450 0.832 (multiplicity 4)
Cl: 0.240 0.346 0.628 (multiplicity 4)
Cl: 0.309 0.065 0.057 (multiplicity 4)
Cl: 0.360 0.251 0.331 (multiplicity 4)
Cl: 0.419 0.432 0.034 (multiplicity 4)
Cl: 0.436 0.201 0.818 (multiplicity 4)

Principal peaks in the range 10° ≤ 2θ ≤ 90°, by angle:
d = 7.741 Å, 2θ 11.43, I = 76, (2 0 0)
d = 6.622 Å, 2θ 13.37, I = 31, (1 1 0)
d = 6.374 Å, 2θ 13.89, I = 100, (2 0 -2)
d = 6.030 Å, 2θ 14.69, I = 36, (0 0 2)
d = 5.376 Å, 2θ 16.49, I = 87, (1 1 1)
d = 4.550 Å, 2θ 19.51, I = 23, (3 1 -1)
d = 3.958 Å, 2θ 22.47, I = 19, (2 0 2)
d = 2.344 Å, 2θ 38.41, I = 20, (7 1 -3)
d = 2.154 Å, 2θ 41.95, I = 16, (8 0 -2)
d = 2.038 Å, 2θ 44.45, I = 16, (1 1 -6)